[1]
# Zr3CdH
Calculated X-ray diffraction stick pattern, a wavelength of 1.5418 Å. Input: a GGA-PBE-relaxed structure.
Intensities are scaled so that the largest is 100.

```
data_Zr3CdH
_cell_length_a 6.374
_cell_length_b 6.447
_cell_length_c 9.179
_cell_angle_alpha 90.00
_cell_angle_beta 90.00
_cell_angle_gamma 90.00
_symmetry_space_group_name_H-M 'C m m e'
_symmetry_Int_Tables_number 67
_symmetry_space_group_name_Hall '-C 2a 2'
loop_
_atom_site_label
_atom_site_type_symbol
_atom_site_fract_x
_atom_site_fract_y
_atom_site_fract_z
_atom_site_occupancy
Zr1 Zr 0.000 0.005 0.239 1
Zr2 Zr 0.250 0.250 0.500 1
Cd1 Cd 0.250 0.250 0.000 1
H1 H 0.000 0.250 0.634 1
```

Peak list (10 most intense, 2θ = 10–90°, low angle first)
2θ (°)  I/Imax  (hkl)
34.0  100  0 2 2
34.3  98  2 0 2
39.3  32  0 0 4
39.8  64  2 2 0
57.1  53  0 4 0
57.9  11  4 0 0
67.8  12  0 2 6
68.0  12  2 0 6
68.4  24  2 4 2
68.8  24  4 2 2

[2]
# Hf11Cd3
Calculated X-ray diffraction stick pattern, a wavelength of 1.5418 Å. Input: a GGA-PBE-relaxed structure.
Intensities are scaled so that the largest is 100.

```
data_Hf11Cd3
_cell_length_a 5.079
_cell_length_b 9.060
_cell_length_c 13.565
_cell_angle_alpha 90.00
_cell_angle_beta 90.00
_cell_angle_gamma 90.00
_symmetry_space_group_name_H-M 'I m m m'
_symmetry_Int_Tables_number 71
_symmetry_space_group_name_Hall '-I 2 2'
loop_
_atom_site_label
_atom_site_type_symbol
_atom_site_fract_x
_atom_site_fract_y
_atom_site_fract_z
_atom_site_occupancy
Hf1 Hf 0.000 0.000 0.000 1
Hf2 Hf 0.000 0.161 0.280 1
Hf3 Hf 0.000 0.328 0.102 1
Hf4 Hf 0.000 0.500 0.307 1
Cd1 Cd 0.000 0.000 0.500 1
Cd2 Cd 0.000 0.315 0.500 1
```

Peak list (10 most intense, 2θ = 10–90°, low angle first)
2θ (°)  I/Imax  (hkl)
30.3  14  0 3 1
33.1  15  1 2 3
33.3  25  1 1 4
35.3  56  2 0 0
35.8  25  0 3 3
37.1  100  1 3 2
37.6  58  1 0 5
51.2  18  2 3 3
64.6  20  3 3 2
74.3  15  1 6 5